# 1
# Fe4O7F
Simulated PXRD pattern, Cu Kα (λ = 1.5418 Å). Input: DFT lattice parameters and positions (PBE+U).
No peak broadening, texture or thermal motion is included.

Largest 10 diffraction maxima, by intensity, 15° ≤ 2θ ≤ 90°:
d (Å)	2θ (°)	I (rel.)
2.521	35.61	100
3.321	26.85	93
3.213	27.76	93
1.688	54.36	54
1.718	53.32	54
1.371	68.42	29
2.309	39.00	19
1.369	68.52	18
1.504	61.65	16
1.607	57.35	15

Cell and atoms:
Unit cell a=4.626 b=6.018 c=9.232 alpha=90.00 beta=91.88 gamma=90.00
Space group P2_1/m (No. 11)
Symmetry-distinct sites (fractional):
1 Fe 0.004 0.250 0.499
2 Fe 0.025 0.250 0.987
3 Fe 0.482 0.505 0.257
4 O 0.188 0.002 0.097
5 O 0.197 0.502 0.596
6 O 0.287 0.750 0.353
7 O 0.305 0.250 0.347
8 O 0.326 0.250 0.838
9 F 0.311 0.750 0.850



# 2
# Fe5O4F8
Simulated PXRD pattern, Cu Kα (λ = 1.5418 Å). Input: DFT lattice parameters and positions (PBE+U).
No peak broadening, texture or thermal motion is included.

Largest 10 diffraction maxima, by intensity, 15° ≤ 2θ ≤ 90°:
d (Å)	2θ (°)	I (rel.)
3.453	25.80	100
2.500	35.92	90
3.101	28.79	88
1.747	52.38	64
1.366	68.70	51
1.649	55.76	51
2.147	42.09	37
1.727	53.04	25
4.099	21.68	22
3.207	27.81	20

Cell and atoms:
Unit cell a=6.203 b=6.906 c=8.923 alpha=90.00 beta=90.00 gamma=90.00
Space group Cmmm (No. 65)
Symmetry-distinct sites (fractional):
1 Fe 0.000 0.000 0.000
2 Fe 0.000 0.000 0.332
3 Fe 0.000 0.500 0.182
4 O 0.201 0.000 0.168
5 F 0.000 0.287 0.322
6 F 0.000 0.309 0.000
7 F 0.197 0.000 0.500



# 3
# FeO2F
Simulated PXRD pattern, Cu Kα (λ = 1.5418 Å). Input: DFT lattice parameters and positions (PBE+U).
No peak broadening, texture or thermal motion is included.

Largest 10 diffraction maxima, by intensity, 15° ≤ 2θ ≤ 90°:
d (Å)	2θ (°)	I (rel.)
3.918	22.70	100
3.532	25.21	85
2.493	36.03	50
2.503	35.88	46
1.959	46.35	27
1.766	51.76	25
2.109	42.88	20
1.760	51.94	17
1.543	59.97	16
1.577	58.53	15

Cell and atoms:
Unit cell a=8.944 b=5.005 c=5.005 alpha=90.00 beta=118.82 gamma=90.00
Space group C2/c (No. 15)
Symmetry-distinct sites (fractional):
1 Fe 0.250 0.250 0.000
2 O 0.222 0.159 0.385
3 F 0.000 0.294 0.750



# 4
# Fe4O7F
Simulated PXRD pattern, Cu Kα (λ = 1.5418 Å). Input: DFT lattice parameters and positions (PBE+U).
No peak broadening, texture or thermal motion is included.

Largest 10 diffraction maxima, by intensity, 15° ≤ 2θ ≤ 90°:
d (Å)	2θ (°)	I (rel.)
2.523	35.58	100
3.318	26.87	94
3.211	27.78	92
1.718	53.31	56
1.688	54.35	54
1.370	68.48	38
2.307	39.03	19
1.659	55.38	16
1.507	61.54	15
1.606	57.39	15

Cell and atoms:
Unit cell a=6.028 b=6.422 c=6.636 alpha=90.00 beta=90.00 gamma=90.00
Space group Imm2 (No. 44)
Symmetry-distinct sites (fractional):
1 Fe 0.000 0.000 0.000
2 Fe 0.000 0.500 0.472
3 Fe 0.242 0.000 0.501
4 O 0.000 0.000 0.307
5 O 0.000 0.000 0.696
6 O 0.000 0.500 0.175
7 O 0.248 0.193 0.993
8 F 0.000 0.500 0.791



# 5
# Fe4OF7
Simulated PXRD pattern, Cu Kα (λ = 1.5418 Å). Input: DFT lattice parameters and positions (PBE+U).
No peak broadening, texture or thermal motion is included.

Largest 10 diffraction maxima, by intensity, 15° ≤ 2θ ≤ 90°:
d (Å)	2θ (°)	I (rel.)
3.396	26.24	100
2.691	33.29	58
1.792	50.98	50
2.348	38.33	21
1.698	53.99	20
1.436	64.95	17
1.793	50.92	16
1.466	63.47	13
1.625	56.65	11
1.519	61.00	10

Cell and atoms:
Unit cell a=6.499 b=4.801 c=9.611 alpha=90.00 beta=90.08 gamma=90.00
Space group P2_1 (No. 4)
Symmetry-distinct sites (fractional):
1 Fe 0.105 0.000 0.135
2 Fe 0.125 0.970 0.633
3 Fe 0.370 0.502 0.872
4 Fe 0.372 0.485 0.378
5 O 0.112 0.677 0.782
6 F 0.112 0.270 0.972
7 F 0.128 0.278 0.482
8 F 0.131 0.692 0.272
9 F 0.355 0.191 0.219
10 F 0.358 0.806 0.031
11 F 0.379 0.780 0.528
12 F 0.386 0.181 0.732



# 6
# Fe4O7F
Simulated PXRD pattern, Cu Kα (λ = 1.5418 Å). Input: DFT lattice parameters and positions (PBE+U).
No peak broadening, texture or thermal motion is included.

Largest 10 diffraction maxima, by intensity, 15° ≤ 2θ ≤ 90°:
d (Å)	2θ (°)	I (rel.)
2.523	35.58	100
3.313	26.91	94
3.212	27.78	92
1.717	53.37	56
1.688	54.35	54
1.370	68.52	38
2.306	39.06	19
1.507	61.54	15
1.657	55.47	15
1.606	57.38	15

Cell and atoms:
Unit cell a=6.028 b=6.424 c=6.626 alpha=90.00 beta=90.00 gamma=90.00
Space group Pmmn (No. 59, origin choice 2)
Symmetry-distinct sites (fractional):
1 Fe 0.007 0.250 0.241
2 Fe 0.250 0.250 0.744
3 Fe 0.250 0.750 0.231
4 O 0.003 0.057 0.748
5 O 0.250 0.250 0.048
6 O 0.250 0.250 0.436
7 O 0.250 0.750 0.934
8 F 0.250 0.750 0.549



# 7
# Fe2O3F
Simulated PXRD pattern, Cu Kα (λ = 1.5418 Å). Input: DFT lattice parameters and positions (PBE+U).
No peak broadening, texture or thermal motion is included.

Largest 10 diffraction maxima, by intensity, 15° ≤ 2θ ≤ 90°:
d (Å)	2θ (°)	I (rel.)
3.455	25.79	100
2.528	35.51	98
3.192	27.95	95
1.757	52.06	56
1.684	54.50	53
1.386	67.57	37
2.345	38.39	18
2.266	39.78	17
1.501	61.81	16
1.596	57.76	15

Cell and atoms:
Unit cell a=6.004 b=6.384 c=6.910 alpha=90.00 beta=90.00 gamma=90.00
Space group Imma (No. 74)
Symmetry-distinct sites (fractional):
1 Fe 0.000 0.250 0.215
2 Fe 0.250 0.250 0.750
3 O 0.000 0.250 0.928
4 O 0.250 0.057 0.250
5 F 0.000 0.250 0.549



# 8
# Fe5O2F8
Simulated PXRD pattern, Cu Kα (λ = 1.5418 Å). Input: DFT lattice parameters and positions (PBE+U).
No peak broadening, texture or thermal motion is included.

Largest 10 diffraction maxima, by intensity, 15° ≤ 2θ ≤ 90°:
d (Å)	2θ (°)	I (rel.)
2.636	34.00	100
3.401	26.20	95
3.355	26.57	90
1.777	51.43	57
1.763	51.85	56
1.422	65.65	39
2.301	39.15	18
2.316	38.89	18
1.701	53.91	17
1.677	54.72	17

Cell and atoms:
Unit cell a=6.802 b=6.710 c=15.808 alpha=90.00 beta=90.04 gamma=90.00
Space group C2 (No. 5)
Symmetry-distinct sites (fractional):
1 Fe 0.000 0.000 0.000
2 Fe 0.000 0.497 0.500
3 Fe 0.002 0.029 0.598
4 Fe 0.003 0.494 0.308
5 Fe 0.011 0.999 0.192
6 Fe 0.028 0.500 0.900
7 O 0.000 0.322 0.407
8 O 0.175 0.998 0.096
9 F 0.000 0.301 0.000
10 F 0.000 0.697 0.000
11 F 0.002 0.715 0.406
12 F 0.007 0.699 0.800
13 F 0.011 0.298 0.804
14 F 0.188 0.006 0.715
15 F 0.191 0.007 0.288
16 F 0.208 0.998 0.902
17 F 0.211 0.012 0.499



# 9
# Fe4OF7
Simulated PXRD pattern, Cu Kα (λ = 1.5418 Å). Input: DFT lattice parameters and positions (PBE+U).
No peak broadening, texture or thermal motion is included.

Largest 10 diffraction maxima, by intensity, 15° ≤ 2θ ≤ 90°:
d (Å)	2θ (°)	I (rel.)
3.389	26.30	100
2.695	33.25	58
1.790	51.02	49
2.349	38.32	21
1.695	54.12	20
1.434	65.05	17
1.793	50.94	17
1.468	63.33	13
1.629	56.48	11
1.516	61.15	10

Cell and atoms:
Unit cell a=5.804 b=4.789 c=10.881 alpha=90.00 beta=98.11 gamma=90.00
Space group Pc (No. 7)
Symmetry-distinct sites (fractional):
1 Fe 0.000 0.230 0.000
2 Fe 0.243 0.243 0.766
3 Fe 0.506 0.251 0.518
4 Fe 0.768 0.241 0.268
5 O 0.982 0.057 0.848
6 F 0.038 0.443 0.173
7 F 0.235 0.035 0.591
8 F 0.268 0.455 0.948
9 F 0.478 0.054 0.343
10 F 0.534 0.450 0.694
11 F 0.745 0.052 0.082
12 F 0.778 0.461 0.444



# 10
# Fe3O5F
Simulated PXRD pattern, Cu Kα (λ = 1.5418 Å). Input: DFT lattice parameters and positions (PBE+U).
No peak broadening, texture or thermal motion is included.

Largest 10 diffraction maxima, by intensity, 15° ≤ 2θ ≤ 90°:
d (Å)	2θ (°)	I (rel.)
3.276	27.22	100
1.707	53.70	59
2.524	35.57	53
1.374	68.25	20
1.638	56.15	16
2.217	40.71	14
1.368	68.63	11
2.317	38.87	10
1.465	63.49	9
1.505	61.63	8

Cell and atoms:
Unit cell a=9.030 b=4.637 c=4.630 alpha=90.00 beta=90.00 gamma=90.00
Space group Pmn2_1 (No. 31)
Symmetry-distinct sites (fractional):
1 Fe 0.000 0.225 0.000
2 Fe 0.173 0.752 0.527
3 O 0.000 0.924 0.705
4 O 0.161 0.047 0.211
5 O 0.164 0.435 0.825
6 F 0.000 0.541 0.321



# 11
# Fe4O7F
Simulated PXRD pattern, Cu Kα (λ = 1.5418 Å). Input: DFT lattice parameters and positions (PBE+U).
No peak broadening, texture or thermal motion is included.

Largest 10 diffraction maxima, by intensity, 15° ≤ 2θ ≤ 90°:
d (Å)	2θ (°)	I (rel.)
2.522	35.60	100
3.324	26.82	95
3.211	27.78	92
1.720	53.27	57
1.687	54.37	54
1.371	68.44	48
2.310	39.00	19
1.662	55.27	16
1.505	61.61	15
1.606	57.39	15

Cell and atoms:
Unit cell a=9.242 b=6.021 c=10.191 alpha=90.00 beta=114.96 gamma=90.00
Space group Cm (No. 8)
Symmetry-distinct sites (fractional):
1 Fe 0.000 0.000 0.000
2 Fe 0.012 0.500 0.008
3 Fe 0.141 0.254 0.760
4 Fe 0.244 0.500 0.496
5 Fe 0.267 0.000 0.510
6 Fe 0.393 0.259 0.262
7 O 0.022 0.500 0.347
8 O 0.040 0.000 0.360
9 O 0.059 0.249 0.910
10 O 0.213 0.247 0.603
11 O 0.248 0.500 0.166
12 O 0.275 0.000 0.850
13 O 0.282 0.500 0.855
14 O 0.310 0.249 0.410
15 O 0.463 0.249 0.104
16 O 0.495 0.000 0.661
17 F 0.235 0.000 0.156
18 F 0.484 0.500 0.657